Starting from the PBE+U geometry in Alexandria, the X-ray powder pattern of Mn3Nb8FeO24 was calculated for Cu Kα, 1.54184 Å.
Lines closer than 0.1° are merged.

Largest 12 diffraction maxima, by angle, 2θ from 10° to 90°:
h k l  Position (°2θ)  I_rel
0 1 3  23.73  32
1 1 3  29.48  100
0 2 0  30.35  10
2 0 0  34.92  13
1 2 0  35.13  13
2 2 0  46.94  8
0 3 3  50.10  14
2 0 -6  51.62  8
2 0 6  51.83  19
1 2 6  51.93  11
3 1 -3  59.23  7
3 2 0  62.76  8

Cell and atoms:
Cell lengths 5.1384, 5.8892, 14.6063 Å; angles 90.00, 90.23, 90.00 degrees
Space group P2 (No. 3)
Asymmetric unit:
Mn: 0.0000 0.0000 0.0000 [1 per cell]
Mn: 0.0000 0.4934 0.5000 [1 per cell]
Mn: 0.5000 0.6455 0.0000 [1 per cell]
Nb: 0.0035 0.0031 0.6605 [2 per cell]
Nb: 0.0065 0.5043 0.8373 [2 per cell]
Nb: 0.4938 0.1400 0.1632 [2 per cell]
Nb: 0.4950 0.6398 0.3392 [2 per cell]
Fe: 0.5000 0.1505 0.5000 [1 per cell]
O: 0.1525 0.7054 0.9184 [2 per cell]
O: 0.1556 0.2021 0.5806 [2 per cell]
O: 0.1667 0.1933 0.2460 [2 per cell]
O: 0.1669 0.6940 0.2568 [2 per cell]
O: 0.1830 0.7204 0.5981 [2 per cell]
O: 0.1870 0.2232 0.9005 [2 per cell]
O: 0.3128 0.4224 0.0996 [2 per cell]
O: 0.3189 0.9228 0.4035 [2 per cell]
O: 0.3326 0.9501 0.7439 [2 per cell]
O: 0.3339 0.4513 0.7545 [2 per cell]
O: 0.3473 0.9399 0.0817 [2 per cell]
O: 0.3515 0.4363 0.4200 [2 per cell]